No. 1
The following is a theoretical powder XRD pattern of Ce3PmSe6. It was derived from a PBE-relaxed structure, using copper Kα.

Cell and atoms:
```
Ce3PmSe6
1.0
6.6303 -3.8951 0.0000
6.6303 3.8951 0.0000
-4.1064 0.0000 6.1767
Ce Pm Se
3 1 6
direct
0.0000 0.0000 0.0000
0.2499 0.2499 0.6961
0.7501 0.7501 0.3039
0.5000 0.5000 0.5000
0.1603 0.6611 0.6606
0.2502 0.2502 0.0916
0.3389 0.8397 0.3394
0.6611 0.1603 0.6606
0.7498 0.7498 0.9084
0.8397 0.3389 0.3394
```

Principal peaks in the range 2θ = 10–80°, by angle:
2θ = 22.83°, intensity 37; 2θ = 23.04°, intensity 95; 2θ = 23.16°, intensity 95; 2θ = 27.00°, intensity 33; 2θ = 27.12°, intensity 33; 2θ = 27.84°, intensity 58; 2θ = 33.36°, intensity 100; 2θ = 40.03°, intensity 90; 2θ = 40.26°, intensity 45; 2θ = 46.64°, intensity 37



No. 2
The following is a theoretical powder XRD pattern of Ce5Pm3Se8. It was derived from a PBE-relaxed structure, using copper Kα.

Cell and atoms:
```
Ce5Pm3Se8
1.0
4.1951 2.4221 6.8746
-4.1951 2.4221 6.8746
0.0000 -4.8441 6.8746
Ce Pm Se
5 3 8
direct
0.0000 0.0000 0.0000
0.0000 0.5000 0.5000
0.5000 0.0000 0.5000
0.5000 0.5000 0.0000
0.5000 0.5000 0.5000
0.0000 0.0000 0.5000
0.0000 0.5000 0.0000
0.5000 0.0000 0.0000
0.2494 0.7500 0.7500
0.2498 0.2498 0.2498
0.2500 0.2500 0.7506
0.2500 0.7506 0.2500
0.7500 0.2494 0.7500
0.7500 0.7500 0.2494
0.7502 0.7502 0.7502
0.7506 0.2500 0.2500
```

Principal peaks in the range 2θ = 10–80°, by angle:
2θ = 25.98°, intensity 15; 2θ = 30.09°, intensity 100; 2θ = 43.02°, intensity 37; 2θ = 43.13°, intensity 37; 2θ = 53.30°, intensity 7; 2θ = 53.48°, intensity 20; 2θ = 62.55°, intensity 12; 2θ = 70.89°, intensity 17; 2θ = 71.04°, intensity 17; 2θ = 79.03°, intensity 19



No. 3
The following is a theoretical powder XRD pattern of Ce4Pm2Se9. It was derived from a PBE-relaxed structure, using copper Kα.

Cell and atoms:
```
Ce4Pm2Se9
1.0
7.4914 0.0000 0.0000
3.7405 6.4951 0.0000
0.0163 -0.0029 19.7806
Ce Pm Se
8 4 18
direct
0.1658 0.1666 0.1831
0.1660 0.1670 0.9794
0.1671 0.1665 0.4789
0.1678 0.1663 0.6833
0.8322 0.8337 0.3167
0.8329 0.8335 0.5211
0.8340 0.8330 0.0206
0.8342 0.8334 0.8169
0.4991 0.5013 0.1495
0.4998 0.4987 0.3508
0.5002 0.5013 0.6492
0.5009 0.4987 0.8505
0.1334 0.5416 0.4179
0.1361 0.8244 0.9177
0.1747 0.4601 0.0823
0.1752 0.8659 0.5821
0.2022 0.5006 0.7498
0.2023 0.7984 0.2505
0.4588 0.1773 0.5818
0.4593 0.8658 0.0820
0.4990 0.2022 0.2499
0.5010 0.7978 0.7501
0.5407 0.1342 0.9180
0.5412 0.8227 0.4182
0.7977 0.2016 0.7495
0.7978 0.4994 0.2502
0.8248 0.1341 0.4179
0.8253 0.5399 0.9177
0.8639 0.1756 0.0823
0.8666 0.4584 0.5821
```

Principal peaks in the range 2θ = 10–80°, by angle:
2θ = 16.33°, intensity 44; 2θ = 22.60°, intensity 63; 2θ = 23.74°, intensity 40; 2θ = 27.37°, intensity 75; 2θ = 33.02°, intensity 33; 2θ = 36.29°, intensity 100; 2θ = 41.07°, intensity 44; 2θ = 41.74°, intensity 73; 2θ = 48.08°, intensity 23; 2θ = 56.49°, intensity 26